For NdHo2Se5, a crystal structure in Alexandria, relaxed with GGA-PBE gives the theoretical powder diffractogram in this record (Cu Kα (λ = 1.5418 Å)).
Intensities are scaled so that the largest is 100.

The 10 most intense peaks (2θ from 10° to 80°), by angle:
2theta	intensity
13.39	13.8
21.24	11.8
26.96	21.2
31.73	10.1
33.17	100.0
37.21	48.5
43.26	20.8
53.65	20.5
68.82	13.7
69.63	24.1

Cell and atoms:
Cell lengths 8.538, 8.538, 8.538 Å; angles 126.84, 126.84, 78.51 degrees
Element x y z (fractional)
Nd 0.250 0.250 0.000
Nd 0.750 0.750 0.000
Ho 0.156 0.656 0.812
Ho 0.344 0.156 0.500
Ho 0.656 0.844 0.500
Ho 0.844 0.344 0.188
Se 0.000 0.000 0.000
Se 0.009 0.200 0.500
Se 0.200 0.700 0.191
Se 0.300 0.491 0.500
Se 0.491 0.991 0.191
Se 0.500 0.500 0.000
Se 0.509 0.009 0.809
Se 0.700 0.509 0.500
Se 0.800 0.300 0.809
Se 0.991 0.800 0.500

For PuPa4N7, a crystal structure in Alexandria, relaxed with GGA-PBE gives the theoretical powder diffractogram in this record (Cu Kα (λ = 1.5418 Å)).
Intensities are scaled so that the largest is 100.

The 10 most intense peaks (2θ from 10° to 80°), by angle:
2theta	intensity
27.51	33.5
28.89	100.0
29.26	95.0
30.02	60.8
31.40	72.6
32.50	32.2
35.57	31.6
37.72	44.5
39.43	26.8
62.59	31.0

Cell and atoms:
Cell lengths 5.946, 5.946, 9.514 Å; angles 105.92, 105.92, 33.18 degrees
Element x y z (fractional)
Pu 0.000 0.000 0.000
Pa 0.116 0.116 0.416
Pa 0.219 0.219 0.836
Pa 0.422 0.422 0.616
Pa 0.812 0.812 0.227
N 0.062 0.062 0.624
N 0.167 0.167 0.210
N 0.360 0.360 0.059
N 0.462 0.462 0.378
N 0.595 0.595 0.888
N 0.771 0.771 0.457
N 0.843 0.843 0.773

For ThIn6Ag6, a crystal structure in Alexandria, relaxed with GGA-PBE gives the theoretical powder diffractogram in this record (Cu Kα (λ = 1.5418 Å)).
Intensities are scaled so that the largest is 100.

The 10 most intense peaks (2θ from 10° to 80°), by angle:
2theta	intensity
30.35	22.1
31.07	40.8
35.47	48.3
35.69	41.4
36.31	100.0
36.58	32.6
37.16	36.5
40.21	48.7
40.97	22.3
64.77	24.4

Cell and atoms:
Cell lengths 7.522, 7.522, 7.522 Å; angles 133.90, 99.92, 97.72 degrees
Element x y z (fractional)
Th 0.000 0.000 0.000
In 0.177 0.677 0.500
In 0.342 0.342 0.000
In 0.347 0.000 0.347
In 0.653 0.000 0.653
In 0.658 0.658 0.000
In 0.823 0.323 0.500
Ag 0.000 0.000 0.500
Ag 0.000 0.500 0.000
Ag 0.239 0.500 0.739
Ag 0.500 0.000 0.000
Ag 0.500 0.500 0.500
Ag 0.761 0.500 0.261

For HfTa2Re2, a crystal structure in Alexandria, relaxed with GGA-PBE gives the theoretical powder diffractogram in this record (Cu Kα (λ = 1.5418 Å)).
Intensities are scaled so that the largest is 100.

The 10 most intense peaks (2θ from 10° to 80°), by angle:
2theta	intensity
34.45	29.1
37.81	100.0
39.98	97.2
41.51	71.4
42.61	14.7
57.24	17.7
57.38	17.6
70.66	32.6
71.84	33.1
73.26	27.2

Cell and atoms:
Cell lengths 9.000, 9.000, 3.219 Å; angles 90.00, 90.00, 159.44 degrees
Element x y z (fractional)
Hf 0.000 0.000 0.000
Ta 0.180 0.820 0.000
Ta 0.820 0.180 0.000
Re 0.402 0.598 0.500
Re 0.598 0.402 0.500

For Ho2Te2S, a crystal structure in Alexandria, relaxed with GGA-PBE gives the theoretical powder diffractogram in this record (Cu Kα (λ = 1.5418 Å)).
Intensities are scaled so that the largest is 100.

The 10 most intense peaks (2θ from 10° to 80°), by angle:
2theta	intensity
12.78	27.7
18.01	53.2
25.73	60.4
28.84	100.0
30.63	81.5
32.69	27.9
39.03	40.2
42.57	66.1
53.09	28.9
70.77	34.1

Cell and atoms:
Cell lengths 8.435, 6.191, 12.133 Å; angles 90.00, 90.00, 90.00 degrees
Element x y z (fractional)
Ho 0.062 0.250 0.233
Ho 0.160 0.250 0.572
Ho 0.340 0.750 0.072
Ho 0.438 0.750 0.733
Ho 0.562 0.250 0.267
Ho 0.660 0.250 0.928
Ho 0.840 0.750 0.428
Ho 0.938 0.750 0.767
Te 0.046 0.750 0.212
Te 0.161 0.750 0.561
Te 0.339 0.250 0.061
Te 0.454 0.250 0.712
Te 0.546 0.750 0.288
Te 0.661 0.750 0.939
Te 0.839 0.250 0.439
Te 0.954 0.250 0.788
S 0.208 0.750 0.882
S 0.292 0.250 0.382
S 0.708 0.750 0.618
S 0.792 0.250 0.118

For CsPaRhO6, a crystal structure in Alexandria, relaxed with GGA-PBE gives the theoretical powder diffractogram in this record (Cu Kα (λ = 1.5418 Å)).
Intensities are scaled so that the largest is 100.

The 10 most intense peaks (2θ from 10° to 80°), by angle:
2theta	intensity
13.12	37.8
22.65	100.0
26.41	19.0
32.13	34.8
34.84	11.8
39.67	20.3
42.06	45.6
44.43	15.2
51.93	21.1
64.57	12.9

Cell and atoms:
Cell lengths 5.572, 5.572, 6.749 Å; angles 90.00, 90.00, 120.00 degrees
Element x y z (fractional)
Cs 0.000 0.000 0.000
Pa 0.333 0.667 0.500
Rh 0.667 0.333 0.500
O 0.392 0.023 0.663
O 0.392 0.369 0.337
O 0.631 0.023 0.337
O 0.631 0.608 0.663
O 0.977 0.369 0.663
O 0.977 0.608 0.337